# 1
Calculated powder diffractogram of Ca6ErS8 for Cu Kα, 1.54184 Å, from DFT lattice parameters and positions (PBE).
No peak broadening, texture or thermal motion is included.

Atomic structure:
a b c (Å): 11.3981 11.3981 11.3981
angles (deg): 90.00 90.00 90.00
Space group Fm-3m (No. 225)
Unique sites:
Ca  0.0000  0.2500  0.2500 (multiplicity 24)
Er  0.0000  0.0000  0.0000 (multiplicity 4)
S  0.0000  0.0000  0.2380 (multiplicity 24)
S  0.2500  0.2500  0.2500 (multiplicity 8)

Peak list (10 most intense, 15° ≤ 2θ ≤ 90°, sorted by position)
| 2θ/deg | d/Å | I_rel |
| --- | --- | --- |
| 25.93 | 3.437 | 35 |
| 31.39 | 2.850 | 100 |
| 34.29 | 2.615 | 13 |
| 41.15 | 2.194 | 18 |
| 44.99 | 2.015 | 67 |
| 47.17 | 1.927 | 18 |
| 55.89 | 1.645 | 22 |
| 65.52 | 1.425 | 10 |
| 74.45 | 1.274 | 27 |
| 83.01 | 1.163 | 20 |

***

# 2
Calculated powder diffractogram of CaEr4ScS8 for Cu Kα, 1.54184 Å, from DFT lattice parameters and positions (PBE).
No peak broadening, texture or thermal motion is included.

Atomic structure:
a b c (Å): 8.0092 8.0092 19.2694
angles (deg): 90.00 90.00 120.00
Space group R3m (No. 160, hexagonal axes)
Unique sites:
Ca  0.0000  0.0000  0.0000 (multiplicity 3)
Er  0.0000  0.0000  0.2455 (multiplicity 3)
Er  0.1695  0.3390  0.4551 (multiplicity 9)
Sc  0.0000  0.0000  0.6249 (multiplicity 3)
S  0.0000  0.0000  0.3798 (multiplicity 3)
S  0.0000  0.0000  0.8623 (multiplicity 3)
S  0.0350  0.5175  0.3731 (multiplicity 9)
S  0.1797  0.3594  0.2053 (multiplicity 9)

Peak list (10 most intense, 15° ≤ 2θ ≤ 90°, sorted by position)
| 2θ/deg | d/Å | I_rel |
| --- | --- | --- |
| 15.74 | 5.629 | 29 |
| 22.47 | 3.957 | 44 |
| 26.11 | 3.413 | 100 |
| 26.22 | 3.398 | 69 |
| 26.46 | 3.369 | 36 |
| 31.79 | 2.815 | 59 |
| 41.67 | 2.168 | 31 |
| 41.90 | 2.156 | 31 |
| 45.29 | 2.002 | 60 |
| 45.87 | 1.978 | 59 |

***

# 3
Calculated powder diffractogram of CaErSe for Cu Kα, 1.54184 Å, from DFT lattice parameters and positions (PBE).
No peak broadening, texture or thermal motion is included.

Atomic structure:
a b c (Å): 3.8109 5.7025 16.5157
angles (deg): 90.00 90.00 90.00
Space group Immm (No. 71)
Unique sites:
Ca  0.0000  0.0000  0.1713 (multiplicity 4)
Er  0.0000  0.2451  0.5000 (multiplicity 4)
Se  0.0000  0.0000  0.3442 (multiplicity 4)

Peak list (10 most intense, 15° ≤ 2θ ≤ 90°, sorted by position)
| 2θ/deg | d/Å | I_rel |
| --- | --- | --- |
| 23.96 | 3.713 | 100 |
| 28.16 | 3.169 | 31 |
| 28.49 | 3.133 | 30 |
| 32.53 | 2.753 | 50 |
| 33.24 | 2.695 | 58 |
| 38.37 | 2.346 | 47 |
| 39.86 | 2.261 | 29 |
| 42.88 | 2.109 | 49 |
| 45.20 | 2.006 | 25 |
| 48.47 | 1.878 | 26 |

***

# 4
Calculated powder diffractogram of Ca6ErSe8 for Cu Kα, 1.54184 Å, from DFT lattice parameters and positions (PBE).
No peak broadening, texture or thermal motion is included.

Atomic structure:
a b c (Å): 11.8749 11.8749 11.8749
angles (deg): 90.00 90.00 90.00
Space group Fm-3m (No. 225)
Unique sites:
Ca  0.0000  0.2500  0.2500 (multiplicity 24)
Er  0.0000  0.0000  0.0000 (multiplicity 4)
Se  0.0000  0.0000  0.2404 (multiplicity 24)
Se  0.2500  0.2500  0.2500 (multiplicity 8)

Peak list (10 most intense, 15° ≤ 2θ ≤ 90°, sorted by position)
| 2θ/deg | d/Å | I_rel |
| --- | --- | --- |
| 24.87 | 3.580 | 14 |
| 25.99 | 3.428 | 8 |
| 30.10 | 2.969 | 100 |
| 39.43 | 2.285 | 10 |
| 43.09 | 2.099 | 72 |
| 45.17 | 2.007 | 9 |
| 53.46 | 1.714 | 25 |
| 62.58 | 1.484 | 11 |
| 70.99 | 1.328 | 30 |
| 79.00 | 1.212 | 22 |

***

# 5
Calculated powder diffractogram of CaSm4ErSe8 for Cu Kα, 1.54184 Å, from DFT lattice parameters and positions (PBE).
No peak broadening, texture or thermal motion is included.

Atomic structure:
a b c (Å): 8.5886 8.5886 20.8906
angles (deg): 90.00 90.00 120.00
Space group R3m (No. 160, hexagonal axes)
Unique sites:
Ca  0.0000  0.0000  0.0000 (multiplicity 3)
Sm  0.0000  0.0000  0.2486 (multiplicity 3)
Sm  0.1694  0.3388  0.4571 (multiplicity 9)
Er  0.0000  0.0000  0.6267 (multiplicity 3)
Se  0.0000  0.0000  0.3819 (multiplicity 3)
Se  0.0000  0.0000  0.8660 (multiplicity 3)
Se  0.0276  0.5138  0.3748 (multiplicity 9)
Se  0.1801  0.3601  0.2075 (multiplicity 9)

Peak list (10 most intense, 15° ≤ 2θ ≤ 90°, sorted by position)
| 2θ/deg | d/Å | I_rel |
| --- | --- | --- |
| 20.72 | 4.286 | 18 |
| 24.34 | 3.657 | 81 |
| 24.44 | 3.643 | 29 |
| 29.49 | 3.029 | 100 |
| 38.58 | 2.334 | 52 |
| 42.08 | 2.147 | 68 |
| 42.29 | 2.137 | 69 |
| 52.22 | 1.752 | 18 |
| 61.19 | 1.515 | 21 |
| 77.05 | 1.238 | 21 |

***

# 6
Calculated powder diffractogram of CaTbEr2Se4 for Cu Kα, 1.54184 Å, from DFT lattice parameters and positions (PBE).
No peak broadening, texture or thermal motion is included.

Atomic structure:
a b c (Å): 7.0744 4.0684 7.0890
angles (deg): 90.00 109.16 90.00
Space group P2/m (No. 10)
Unique sites:
Ca  0.0000  0.0000  0.0000 (multiplicity 1)
Tb  0.0000  0.5000  0.5000 (multiplicity 1)
Er  0.5000  0.0000  0.5000 (multiplicity 1)
Er  0.5000  0.5000  0.0000 (multiplicity 1)
Se  0.2551  0.0000  0.7523 (multiplicity 2)
Se  0.2560  0.5000  0.2523 (multiplicity 2)

Peak list (10 most intense, 15° ≤ 2θ ≤ 90°, sorted by position)
| 2θ/deg | d/Å | I_rel |
| --- | --- | --- |
| 30.96 | 2.888 | 100 |
| 44.13 | 2.052 | 12 |
| 44.37 | 2.042 | 49 |
| 44.54 | 2.034 | 12 |
| 54.84 | 1.674 | 7 |
| 55.25 | 1.663 | 13 |
| 64.53 | 1.444 | 12 |
| 73.26 | 1.292 | 11 |
| 73.36 | 1.291 | 11 |
| 81.88 | 1.176 | 8 |

***

# 7
Calculated powder diffractogram of CaTbEr4Se8 for Cu Kα, 1.54184 Å, from DFT lattice parameters and positions (PBE).
No peak broadening, texture or thermal motion is included.

Atomic structure:
a b c (Å): 8.4011 8.4011 20.6573
angles (deg): 90.00 90.00 120.00
Space group R3m (No. 160, hexagonal axes)
Unique sites:
Ca  0.0000  0.0000  0.0000 (multiplicity 3)
Tb  0.0000  0.0000  0.3722 (multiplicity 3)
Er  0.0000  0.0000  0.7492 (multiplicity 3)
Er  0.0055  0.5028  0.8751 (multiplicity 9)
Se  0.0000  0.0000  0.1350 (multiplicity 3)
Se  0.0000  0.0000  0.6165 (multiplicity 3)
Se  0.0186  0.5093  0.1280 (multiplicity 9)
Se  0.1793  0.3586  0.9531 (multiplicity 9)

Peak list (10 most intense, 15° ≤ 2θ ≤ 90°, sorted by position)
| 2θ/deg | d/Å | I_rel |
| --- | --- | --- |
| 21.12 | 4.206 | 16 |
| 24.82 | 3.587 | 100 |
| 30.05 | 2.974 | 83 |
| 39.31 | 2.292 | 16 |
| 39.37 | 2.288 | 41 |
| 42.95 | 2.106 | 58 |
| 43.07 | 2.100 | 58 |
| 53.41 | 1.716 | 15 |
| 62.45 | 1.487 | 18 |
| 78.90 | 1.213 | 27 |

***

# 8
Calculated powder diffractogram of CaTb2ErSe4 for Cu Kα, 1.54184 Å, from DFT lattice parameters and positions (PBE).
No peak broadening, texture or thermal motion is included.

Atomic structure:
a b c (Å): 7.0934 4.0804 7.1216
angles (deg): 90.00 109.12 90.00
Space group P2/m (No. 10)
Unique sites:
Ca  0.0000  0.0000  0.0000 (multiplicity 1)
Tb  0.0000  0.5000  0.5000 (multiplicity 1)
Tb  0.5000  0.0000  0.5000 (multiplicity 1)
Er  0.5000  0.5000  0.0000 (multiplicity 1)
Se  0.2525  0.5000  0.2487 (multiplicity 2)
Se  0.2532  0.0000  0.7541 (multiplicity 2)

Peak list (10 most intense, 15° ≤ 2θ ≤ 90°, sorted by position)
| 2θ/deg | d/Å | I_rel |
| --- | --- | --- |
| 30.85 | 2.898 | 100 |
| 43.94 | 2.061 | 12 |
| 44.14 | 2.052 | 25 |
| 44.28 | 2.046 | 24 |
| 44.40 | 2.040 | 12 |
| 55.07 | 1.668 | 13 |
| 64.25 | 1.450 | 8 |
| 72.92 | 1.297 | 11 |
| 73.12 | 1.294 | 11 |
| 81.55 | 1.180 | 8 |

***

# 9
Calculated powder diffractogram of CaSm3Er6 for Cu Kα, 1.54184 Å, from DFT lattice parameters and positions (PBE).
No peak broadening, texture or thermal motion is included.

Atomic structure:
a b c (Å): 18.0055 6.8276 5.9034
angles (deg): 90.00 104.46 90.00
Space group C2/m (No. 12)
Unique sites:
Ca  0.0000  0.0000  0.0000 (multiplicity 2)
Sm  0.0000  0.5000  0.5000 (multiplicity 2)
Sm  0.1477  0.0000  0.5994 (multiplicity 4)
Er  0.1693  0.2618  0.0991 (multiplicity 8)
Er  0.1869  0.5000  0.6019 (multiplicity 4)

Peak list (10 most intense, 15° ≤ 2θ ≤ 90°, sorted by position)
| 2θ/deg | d/Å | I_rel |
| --- | --- | --- |
| 29.52 | 3.026 | 25 |
| 30.38 | 2.942 | 40 |
| 30.50 | 2.931 | 100 |
| 30.77 | 2.906 | 65 |
| 32.90 | 2.722 | 32 |
| 33.48 | 2.677 | 67 |
| 34.62 | 2.591 | 51 |
| 35.41 | 2.535 | 28 |
| 40.83 | 2.210 | 40 |
| 53.76 | 1.705 | 45 |

***

# 10
Calculated powder diffractogram of Ca2Sm4Er for Cu Kα, 1.54184 Å, from DFT lattice parameters and positions (PBE).
No peak broadening, texture or thermal motion is included.

Atomic structure:
a b c (Å): 3.5722 5.8808 23.6110
angles (deg): 90.00 90.00 90.00
Space group Immm (No. 71)
Unique sites:
Ca  0.0000  0.0000  0.2208 (multiplicity 4)
Sm  0.0000  0.5000  0.1287 (multiplicity 4)
Sm  0.0000  0.5000  0.4203 (multiplicity 4)
Er  0.0000  0.0000  0.5000 (multiplicity 2)

Peak list (10 most intense, 15° ≤ 2θ ≤ 90°, sorted by position)
| 2θ/deg | d/Å | I_rel |
| --- | --- | --- |
| 27.42 | 3.253 | 40 |
| 30.40 | 2.940 | 53 |
| 30.55 | 2.926 | 86 |
| 33.03 | 2.712 | 100 |
| 37.28 | 2.412 | 25 |
| 41.39 | 2.181 | 26 |
| 49.54 | 1.840 | 21 |
| 55.71 | 1.650 | 22 |
| 59.24 | 1.560 | 22 |
| 60.75 | 1.525 | 24 |

***

# 11
Calculated powder diffractogram of CaSm15Er4 for Cu Kα, 1.54184 Å, from DFT lattice parameters and positions (PBE).
No peak broadening, texture or thermal motion is included.

Atomic structure:
a b c (Å): 5.1138 5.1138 25.4840
angles (deg): 90.00 90.00 90.00
Space group P4/mmm (No. 123)
Unique sites:
Ca  0.0000  0.0000  0.0000 (multiplicity 1)
Sm  0.0000  0.5000  0.1041 (multiplicity 4)
Sm  0.0000  0.5000  0.3014 (multiplicity 4)
Sm  0.0000  0.5000  0.5000 (multiplicity 2)
Sm  0.5000  0.5000  0.0000 (multiplicity 1)
Sm  0.5000  0.5000  0.2012 (multiplicity 2)
Sm  0.5000  0.5000  0.4003 (multiplicity 2)
Er  0.0000  0.0000  0.2014 (multiplicity 2)
Er  0.0000  0.0000  0.4006 (multiplicity 2)

Peak list (10 most intense, 15° ≤ 2θ ≤ 90°, sorted by position)
| 2θ/deg | d/Å | I_rel |
| --- | --- | --- |
| 30.31 | 2.949 | 100 |
| 35.10 | 2.557 | 34 |
| 35.22 | 2.548 | 17 |
| 50.54 | 1.806 | 36 |
| 60.02 | 1.541 | 29 |
| 60.18 | 1.538 | 14 |
| 63.04 | 1.475 | 12 |
| 82.18 | 1.173 | 6 |
| 82.32 | 1.171 | 11 |
| 84.78 | 1.143 | 6 |

***

# 12
Calculated powder diffractogram of CaSm4Er for Cu Kα, 1.54184 Å, from DFT lattice parameters and positions (PBE).
No peak broadening, texture or thermal motion is included.

Atomic structure:
a b c (Å): 3.6084 5.1568 11.0095
angles (deg): 90.00 90.00 90.00
Space group Pmmm (No. 47)
Unique sites:
Ca  0.0000  0.0000  0.0000 (multiplicity 1)
Sm  0.0000  0.0000  0.3406 (multiplicity 2)
Sm  0.5000  0.5000  0.1825 (multiplicity 2)
Er  0.5000  0.5000  0.5000 (multiplicity 1)

Peak list (10 most intense, 15° ≤ 2θ ≤ 90°, sorted by position)
| 2θ/deg | d/Å | I_rel |
| --- | --- | --- |
| 29.88 | 2.990 | 99 |
| 30.23 | 2.956 | 100 |
| 34.84 | 2.575 | 100 |
| 50.08 | 1.821 | 47 |
| 50.59 | 1.804 | 12 |
| 59.27 | 1.559 | 25 |
| 59.37 | 1.557 | 14 |
| 59.57 | 1.552 | 14 |
| 59.88 | 1.545 | 27 |
| 62.87 | 1.478 | 12 |